[1]
# Fe5CoP6O24
Computed powder X-ray diffraction pattern, copper Kα. Input: a cell relaxed with PBE+U.
No peak broadening, texture or thermal motion is included.

Main lines, in order of rising 2θ (2θ from 10° to 90°):
2θ 20.56, I = 91; 2θ 24.45, I = 100; 2θ 33.65, I = 78; 2θ 36.01, I = 43; 2θ 48.18, I = 28; 2θ 50.10, I = 30; 2θ 56.35, I = 25; 2θ 63.23, I = 25

Structural model:
abc: 8.4067 8.4067 8.4067
angles: 61.85 61.85 61.85
Atoms (fractional coordinates):
Fe (0.0000, 0.0000, 0.0000)
Fe (0.1458, 0.1458, 0.1458)
Fe (0.2923, 0.2923, 0.2923)
Fe (0.5009, 0.5009, 0.5009)
Fe (0.6486, 0.6486, 0.6486)
Co (0.7940, 0.7940, 0.7940)
P (0.0992, 0.6940, 0.3967)
P (0.1926, 0.5989, 0.8955)
P (0.3967, 0.0992, 0.6940)
P (0.5989, 0.8955, 0.1926)
P (0.6940, 0.3967, 0.0992)
P (0.8955, 0.1926, 0.5989)
O (0.0381, 0.6389, 0.8213)
O (0.0500, 0.2070, 0.3954)
O (0.0844, 0.8970, 0.2412)
O (0.1416, 0.5389, 0.3236)
O (0.1474, 0.7526, 0.9712)
O (0.2070, 0.3954, 0.0500)
O (0.2412, 0.0844, 0.8970)
O (0.2542, 0.6525, 0.4691)
O (0.3236, 0.1416, 0.5389)
O (0.3954, 0.0500, 0.2070)
O (0.3959, 0.5863, 0.7415)
O (0.4691, 0.2542, 0.6525)
O (0.5389, 0.3236, 0.1416)
O (0.5511, 0.8963, 0.7091)
O (0.5863, 0.7415, 0.3959)
O (0.6389, 0.8213, 0.0381)
O (0.6525, 0.4691, 0.2542)
O (0.7091, 0.5511, 0.8963)
O (0.7415, 0.3959, 0.5863)
O (0.7526, 0.9712, 0.1474)
O (0.8213, 0.0381, 0.6389)
O (0.8963, 0.7091, 0.5511)
O (0.8970, 0.2412, 0.0844)
O (0.9712, 0.1474, 0.7526)

***

[2]
# Al2Fe2Bi2O9
Computed powder X-ray diffraction pattern, copper Kα. Input: a cell relaxed with PBE+U.
No peak broadening, texture or thermal motion is included.

Main lines, in order of rising 2θ (2θ from 10° to 90°):
2θ 14.86, I = 100; 2θ 25.80, I = 38; 2θ 26.92, I = 43; 2θ 28.17, I = 96; 2θ 28.94, I = 83; 2θ 39.22, I = 39; 2θ 46.91, I = 54; 2θ 56.73, I = 43

Structural model:
abc: 7.9683 8.4715 5.9606
angles: 90.00 90.00 90.00
Atoms (fractional coordinates):
Al (0.1417, 0.1569, 0.0000)
Al (0.3583, 0.6569, 0.0000)
Al (0.6417, 0.3431, 0.0000)
Al (0.8583, 0.8431, 0.0000)
Fe (0.0000, 0.5000, 0.2378)
Fe (0.0000, 0.5000, 0.7622)
Fe (0.5000, 0.0000, 0.2378)
Fe (0.5000, 0.0000, 0.7622)
Bi (0.1837, 0.8181, 0.5000)
Bi (0.3163, 0.3181, 0.5000)
Bi (0.6837, 0.6819, 0.5000)
Bi (0.8163, 0.1819, 0.5000)
O (0.0000, 0.0000, 0.0000)
O (0.1208, 0.2811, 0.2472)
O (0.1208, 0.2811, 0.7528)
O (0.1472, 0.5873, 0.0000)
O (0.1552, 0.5575, 0.5000)
O (0.3448, 0.0575, 0.5000)
O (0.3528, 0.0873, 0.0000)
O (0.3792, 0.7811, 0.2472)
O (0.3792, 0.7811, 0.7528)
O (0.5000, 0.5000, 0.0000)
O (0.6208, 0.2189, 0.2472)
O (0.6208, 0.2189, 0.7528)
O (0.6472, 0.9127, 0.0000)
O (0.6552, 0.9425, 0.5000)
O (0.8448, 0.4425, 0.5000)
O (0.8528, 0.4127, 0.0000)
O (0.8792, 0.7189, 0.2472)
O (0.8792, 0.7189, 0.7528)